Starting from a structure optimized by DFT (PBE), the XRD peak list of Pr4MgIr was computed for a wavelength of 1.5418 Å.

The 12 most intense peaks (15° ≤ 2θ ≤ 90°), sorted by position:
27.18 deg, I = 263
30.63 deg, I = 412
32.53 deg, I = 1000
35.51 deg, I = 399
45.29 deg, I = 115
48.92 deg, I = 142
54.44 deg, I = 419
55.66 deg, I = 151
64.88 deg, I = 96
67.78 deg, I = 172
81.63 deg, I = 142
83.31 deg, I = 157

Cell and atoms:
```
data_Pr4MgIr
_cell_length_a 10.112
_cell_length_b 10.112
_cell_length_c 10.112
_cell_angle_alpha 60.00
_cell_angle_beta 60.00
_cell_angle_gamma 60.00
_space_group_name_H-M_alt 'P 1'
_space_group_IT_number 1
loop_
_space_group_symop_operation_xyz
'x,y,z'
loop_
_atom_site_label
_atom_site_type_symbol
_atom_site_fract_x
_atom_site_fract_y
_atom_site_fract_z
Pr1 Pr 0.062 0.062 0.438
Pr2 Pr 0.062 0.438 0.062
Pr3 Pr 0.062 0.438 0.438
Pr4 Pr 0.188 0.188 0.812
Pr5 Pr 0.188 0.812 0.188
Pr6 Pr 0.188 0.812 0.812
Pr7 Pr 0.214 0.595 0.595
Pr8 Pr 0.438 0.062 0.062
Pr9 Pr 0.438 0.062 0.438
Pr10 Pr 0.438 0.438 0.062
Pr11 Pr 0.595 0.214 0.595
Pr12 Pr 0.595 0.595 0.214
Pr13 Pr 0.595 0.595 0.595
Pr14 Pr 0.812 0.188 0.188
Pr15 Pr 0.812 0.188 0.812
Pr16 Pr 0.812 0.812 0.188
Mg1 Mg 0.514 0.829 0.829
Mg2 Mg 0.829 0.514 0.829
Mg3 Mg 0.829 0.829 0.514
Mg4 Mg 0.829 0.829 0.829
Ir1 Ir 0.391 0.391 0.391
Ir2 Ir 0.391 0.391 0.827
Ir3 Ir 0.391 0.827 0.391
Ir4 Ir 0.827 0.391 0.391
```